Structure and simulated XRD peak list of Lu10Al3Ni (DFT lattice parameters and positions (GGA-PBE); copper Kα).

Atomic structure:
Lattice parameters (Å, degrees): 9.275 9.275 9.354 90.00 90.00 120.00
Element x y z (fractional)
Lu (0.000, 0.000, 0.000)
Lu (0.000, 0.000, 0.500)
Lu (0.086, 0.543, 0.250)
Lu (0.208, 0.417, 0.561)
Lu (0.208, 0.417, 0.939)
Lu (0.208, 0.792, 0.561)
Lu (0.208, 0.792, 0.939)
Lu (0.417, 0.208, 0.061)
Lu (0.417, 0.208, 0.439)
Lu (0.457, 0.543, 0.250)
Lu (0.457, 0.914, 0.250)
Lu (0.543, 0.086, 0.750)
Lu (0.543, 0.457, 0.750)
Lu (0.583, 0.792, 0.561)
Lu (0.583, 0.792, 0.939)
Lu (0.792, 0.208, 0.061)
Lu (0.792, 0.208, 0.439)
Lu (0.792, 0.583, 0.061)
Lu (0.792, 0.583, 0.439)
Lu (0.914, 0.457, 0.750)
Al (0.112, 0.224, 0.250)
Al (0.112, 0.888, 0.250)
Al (0.224, 0.112, 0.750)
Al (0.776, 0.888, 0.250)
Al (0.888, 0.112, 0.750)
Al (0.888, 0.776, 0.750)
Ni (0.333, 0.667, 0.750)
Ni (0.667, 0.333, 0.250)

The 10 most intense peaks (15° ≤ 2θ ≤ 90°), low angle first:
| 2θ (°) | I (rel.) |
| --- | --- |
| 29.31 | 28 |
| 29.42 | 44 |
| 30.76 | 39 |
| 34.85 | 53 |
| 35.24 | 100 |
| 36.48 | 32 |
| 58.15 | 36 |
| 59.83 | 22 |
| 60.36 | 28 |
| 60.98 | 23 |